No. 1
The following is a calculated XRD peak list of KBe2BO3F2. It was derived from a cell relaxed with GGA-PBE, using Cu Kα (λ = 1.5418 Å).
Intensities are scaled so that the largest is 100.

Peak list (10 most intense, 10 to 90 degrees two-theta, by intensity)
| 2θ/deg | Rel. int. |
| --- | --- |
| 29.55 | 100 |
| 42.92 | 48 |
| 40.49 | 37 |
| 27.51 | 36 |
| 39.98 | 16 |
| 23.50 | 15 |
| 50.92 | 13 |
| 73.65 | 12 |
| 66.99 | 11 |
| 44.02 | 10 |

Cell and atoms:
```
data_KBe2BO3F2
_cell_length_a 4.4557
_cell_length_b 4.4557
_cell_length_c 19.4512
_cell_angle_alpha 90.00
_cell_angle_beta 90.00
_cell_angle_gamma 120.00
_space_group_name_H-M_alt 'R 3 2'
_space_group_IT_number 155
_space_group_name_Hall 'R 3 2"'
loop_
_atom_site_label
_atom_site_fract_x
_atom_site_fract_y
_atom_site_fract_z
K1 0.0000 0.0000 0.0000
Be1 0.0000 0.0000 0.1963
B1 0.0000 0.0000 0.5000
O1 0.0000 0.3094 0.5000
F1 0.0000 0.0000 0.2757
```

---

No. 2
The following is a calculated XRD peak list of BeGeB. It was derived from a cell relaxed with GGA-PBE, using Cu Kα (λ = 1.5418 Å).
Intensities are scaled so that the largest is 100.

Peak list (8 most intense, 10 to 90 degrees two-theta, by intensity)
| 2θ/deg | Rel. int. |
| --- | --- |
| 30.16 | 100 |
| 34.96 | 67 |
| 50.28 | 61 |
| 59.75 | 44 |
| 84.39 | 20 |
| 81.79 | 18 |
| 62.70 | 15 |
| 73.85 | 9 |

Cell and atoms:
```
data_BeGeB
_cell_length_a 5.1328
_cell_length_b 5.1328
_cell_length_c 5.1328
_cell_angle_alpha 90.00
_cell_angle_beta 90.00
_cell_angle_gamma 90.00
_space_group_name_H-M_alt 'F -4 3 m'
_space_group_IT_number 216
_space_group_name_Hall 'F -4 2 3'
loop_
_atom_site_label
_atom_site_fract_x
_atom_site_fract_y
_atom_site_fract_z
Be1 0.0000 0.0000 0.0000
Ge1 0.2500 0.2500 0.7500
B1 0.2500 0.2500 0.2500
```

---

No. 3
The following is a calculated XRD peak list of Sr3Be2B5HO13. It was derived from a cell relaxed with GGA-PBE, using Cu Kα (λ = 1.5418 Å).
Intensities are scaled so that the largest is 100.

Peak list (10 most intense, 10 to 90 degrees two-theta, by intensity)
| 2θ/deg | Rel. int. |
| --- | --- |
| 28.35 | 100 |
| 28.91 | 43 |
| 22.36 | 38 |
| 41.26 | 26 |
| 46.73 | 23 |
| 27.89 | 19 |
| 45.91 | 19 |
| 41.55 | 17 |
| 21.90 | 17 |
| 32.92 | 16 |

Cell and atoms:
```
data_Sr3Be2B5HO13
_cell_length_a 8.4788
_cell_length_b 10.3923
_cell_length_c 6.6195
_cell_angle_alpha 90.00
_cell_angle_beta 111.07
_cell_angle_gamma 90.00
_space_group_name_H-M_alt 'C 1 m 1'
_space_group_IT_number 8
_space_group_name_Hall 'C -2y'
loop_
_atom_site_label
_atom_site_fract_x
_atom_site_fract_y
_atom_site_fract_z
Sr1 0.0000 0.0000 0.0000
Sr2 0.2029 0.2125 0.5717
Be1 0.4398 0.1405 0.1592
B1 0.0814 0.5000 0.8963
B2 0.1722 0.2686 0.0227
B3 0.4495 0.0000 0.4970
B4 0.4608 0.5000 0.5439
H1 0.1337 0.5000 0.2162
O1 0.0247 0.5000 0.0960
O2 0.0489 0.0000 0.4006
O3 0.0780 0.2568 0.1503
O4 0.1868 0.3844 0.9188
O5 0.2579 0.1636 0.9867
O6 0.4273 0.3837 0.6261
O7 0.4320 0.0000 0.7037
O8 0.4522 0.1167 0.4042
```

---

What did the second record say?
The following is a calculated XRD peak list of BeGeB. It was derived from a cell relaxed with GGA-PBE, using Cu Kα (λ = 1.5418 Å).
Intensities are scaled so that the largest is 100.

Peak list (8 most intense, 10 to 90 degrees two-theta, by intensity)
| 2θ/deg | Rel. int. |
| --- | --- |
| 30.16 | 100 |
| 34.96 | 67 |
| 50.28 | 61 |
| 59.75 | 44 |
| 84.39 | 20 |
| 81.79 | 18 |
| 62.70 | 15 |
| 73.85 | 9 |

Cell and atoms:
```
data_BeGeB
_cell_length_a 5.1328
_cell_length_b 5.1328
_cell_length_c 5.1328
_cell_angle_alpha 90.00
_cell_angle_beta 90.00
_cell_angle_gamma 90.00
_space_group_name_H-M_alt 'F -4 3 m'
_space_group_IT_number 216
_space_group_name_Hall 'F -4 2 3'
loop_
_atom_site_label
_atom_site_fract_x
_atom_site_fract_y
_atom_site_fract_z
Be1 0.0000 0.0000 0.0000
Ge1 0.2500 0.2500 0.7500
B1 0.2500 0.2500 0.2500
```